1.
This entry pairs a crystal structure of SnSb6Au8 with its simulated X-ray diffraction stick pattern. Radiation: Cu Kα (weighted mean of Kα1 and Kα2). Structure: a DFT-relaxed cell (GGA-PBE, Alexandria).
Kinematic intensities with the Lorentz-polarization factor, no thermal factor.

Lattice parameters (Å, degrees): 4.4238 9.1243 9.7513 106.63 95.87 91.65
Space group P-1 (No. 2)
Unique sites:
Sn  0.0000  0.0000  0.0000 [1 per cell]
Sb  0.0742  0.6627  0.0704 [2 per cell]
Sb  0.1813  0.0862  0.4180 [2 per cell]
Sb  0.4972  0.4886  0.3471 [2 per cell]
Au  0.0195  0.6934  0.7322 [2 per cell]
Au  0.4036  0.9775  0.7856 [2 per cell]
Au  0.4088  0.7816  0.3381 [2 per cell]
Au  0.4501  0.2536  0.0550 [2 per cell]

Principal peaks in the range 10° ≤ 2θ ≤ 80°, in order of rising 2θ:
hkl  2theta  Rel. int.
1 1 -2  26.58  78
-1 1 2  29.80  100
1 -2 2  31.91  90
1 1 2  33.57  90
-1 2 2  36.13  67
1 3 -3  40.59  89
2 0 0  41.11  67
2 1 -1  42.39  66

2.
This entry pairs a crystal structure of Sn5SbAu3 with its simulated X-ray diffraction stick pattern. Radiation: Cu Kα (weighted mean of Kα1 and Kα2). Structure: a DFT-relaxed cell (GGA-PBE, Alexandria).
Kinematic intensities with the Lorentz-polarization factor, no thermal factor.

Lattice parameters (Å, degrees): 6.9269 4.1809 16.4068 90.00 90.37 90.00
Space group P2/m (No. 10)
Unique sites:
Sn  0.1324  0.0000  0.2330 [2 per cell]
Sn  0.1367  0.0000  0.5699 [2 per cell]
Sn  0.1401  0.0000  0.9043 [2 per cell]
Sn  0.3625  0.5000  0.4015 [2 per cell]
Sn  0.3656  0.5000  0.0703 [2 per cell]
Sb  0.3668  0.5000  0.7350 [2 per cell]
Au  0.0000  0.5000  0.0000 [1 per cell]
Au  0.0007  0.5000  0.6682 [2 per cell]
Au  0.5000  0.0000  0.1684 [2 per cell]
Au  0.5000  0.0000  0.5000 [1 per cell]

Principal peaks in the range 10° ≤ 2θ ≤ 80°, in order of rising 2θ:
hkl  2theta  Rel. int.
1 0 -3  20.63  32
1 0 3  20.76  32
0 1 3  26.84  100
1 1 3  29.83  69
1 1 -6  41.49  52
1 1 6  41.63  51
0 2 0  43.28  40
3 1 0  44.84  60